[1]
Theoretical X-ray diffraction stick pattern of Hf3Cu4Ge2 for Cu Kα, 1.54184 Å, from a cell relaxed with PBE.

Principal peaks in the range 2θ from 10° to 90°, by angle:
2θ = 27.92°, I = 17
2θ = 35.99°, I = 100
2θ = 39.61°, I = 80
2θ = 43.24°, I = 35
2θ = 45.41°, I = 28
2θ = 64.50°, I = 21
2θ = 65.08°, I = 26
2θ = 79.13°, I = 17

Crystal structure
```
Hf3Cu4Ge2
1.0
6.392 0.000 0.000
-3.196 5.536 0.000
0.000 0.000 3.995
Hf Cu Ge
3 4 2
direct
0.000 0.411 0.000
0.411 0.000 0.000
0.589 0.589 0.000
0.000 0.000 0.000
0.000 0.760 0.500
0.240 0.240 0.500
0.760 0.000 0.500
0.333 0.667 0.500
0.667 0.333 0.500
```


[2]
Theoretical X-ray diffraction stick pattern of Cu2HgGeS4 for Cu Kα, 1.54184 Å, from a cell relaxed with PBE.

Principal peaks in the range 2θ from 10° to 90°, by angle:
2θ = 26.57°, I = 69
2θ = 28.04°, I = 68
2θ = 30.11°, I = 100
2θ = 30.57°, I = 57
2θ = 39.01°, I = 32
2θ = 47.54°, I = 46
2θ = 50.92°, I = 56
2θ = 56.10°, I = 36

Crystal structure
```
Cu2HgGeS4
1.0
7.799 0.000 0.000
0.000 6.584 0.000
0.000 0.000 6.365
Cu Hg Ge S
4 2 2 8
direct
0.249 0.167 0.000
0.251 0.833 0.500
0.749 0.833 0.500
0.751 0.167 0.000
0.000 0.650 0.004
0.500 0.350 0.504
0.000 0.326 0.496
0.500 0.674 0.996
0.000 0.286 0.852
0.000 0.663 0.409
0.230 0.158 0.362
0.270 0.842 0.862
0.500 0.337 0.909
0.500 0.714 0.352
0.730 0.842 0.862
0.770 0.158 0.362
```


[3]
Theoretical X-ray diffraction stick pattern of Cu2HgGeS4 for Cu Kα, 1.54184 Å, from a cell relaxed with PBE.

Principal peaks in the range 2θ from 10° to 90°, by angle:
2θ = 18.02°, I = 17
2θ = 28.26°, I = 100
2θ = 32.21°, I = 16
2θ = 46.19°, I = 19
2θ = 47.37°, I = 36
2θ = 55.03°, I = 30
2θ = 57.11°, I = 16
2θ = 76.39°, I = 12

Crystal structure
```
Cu2HgGeS4
1.0
5.559 0.000 0.000
0.000 5.559 0.000
0.000 0.000 10.610
Cu Hg Ge S
4 2 2 8
direct
0.000 0.500 0.250
0.000 0.500 0.750
0.500 0.000 0.250
0.500 0.000 0.750
0.000 0.000 0.000
0.500 0.500 0.500
0.000 0.000 0.500
0.500 0.500 0.000
0.225 0.225 0.364
0.225 0.775 0.636
0.275 0.275 0.864
0.275 0.725 0.136
0.725 0.275 0.136
0.725 0.725 0.864
0.775 0.225 0.636
0.775 0.775 0.364
```


[4]
Theoretical X-ray diffraction stick pattern of Ho2CuGe4 for Cu Kα, 1.54184 Å, from a cell relaxed with PBE.

Principal peaks in the range 2θ from 10° to 90°, by angle:
2θ = 24.42°, I = 14
2θ = 34.66°, I = 28
2θ = 35.19°, I = 100
2θ = 39.13°, I = 22
2θ = 44.67°, I = 20
2θ = 44.81°, I = 20
2θ = 57.86°, I = 13
2θ = 65.13°, I = 13

Crystal structure
```
Ho2CuGe4
1.0
4.045 0.000 0.000
0.000 4.057 0.000
0.000 0.000 16.800
Ho Cu Ge
4 2 8
direct
0.000 0.000 0.000
0.000 0.500 0.500
0.500 0.000 0.211
0.500 0.500 0.711
0.000 0.000 0.783
0.000 0.500 0.283
0.000 0.000 0.366
0.000 0.000 0.644
0.000 0.500 0.144
0.000 0.500 0.866
0.500 0.000 0.554
0.500 0.000 0.865
0.500 0.500 0.054
0.500 0.500 0.365
```


[5]
Theoretical X-ray diffraction stick pattern of HoCuGe for Cu Kα, 1.54184 Å, from a cell relaxed with PBE.

Principal peaks in the range 2θ from 10° to 90°, by angle:
2θ = 24.36°, I = 18
2θ = 34.58°, I = 100
2θ = 42.87°, I = 47
2θ = 49.49°, I = 10
2θ = 56.21°, I = 25
2θ = 67.51°, I = 24
2θ = 73.20°, I = 22
2θ = 82.96°, I = 8

Crystal structure
```
HoCuGe
1.0
4.219 0.000 0.000
-2.109 3.654 0.000
0.000 0.000 7.367
Ho Cu Ge
2 2 2
direct
0.000 0.000 0.000
0.000 0.000 0.500
0.333 0.667 0.250
0.667 0.333 0.750
0.333 0.667 0.750
0.667 0.333 0.250
```


[6]
Theoretical X-ray diffraction stick pattern of HoCuGe for Cu Kα, 1.54184 Å, from a cell relaxed with PBE.

Principal peaks in the range 2θ from 10° to 90°, by angle:
2θ = 24.40°, I = 18
2θ = 34.68°, I = 100
2θ = 42.95°, I = 47
2θ = 49.71°, I = 10
2θ = 56.34°, I = 25
2θ = 67.75°, I = 24
2θ = 73.36°, I = 22
2θ = 83.36°, I = 8

Crystal structure
```
HoCuGe
1.0
4.212 0.000 0.000
-2.106 3.648 0.000
0.000 0.000 3.668
Ho Cu Ge
1 1 1
direct
0.000 0.000 0.000
0.333 0.667 0.500
0.667 0.333 0.500
```


Which formula does entry 6 have? HoCuGe


Please write out number 6 again, unchanged.
Theoretical X-ray diffraction stick pattern of HoCuGe for Cu Kα, 1.54184 Å, from a cell relaxed with PBE.

Principal peaks in the range 2θ from 10° to 90°, by angle:
2θ = 24.40°, I = 18
2θ = 34.68°, I = 100
2θ = 42.95°, I = 47
2θ = 49.71°, I = 10
2θ = 56.34°, I = 25
2θ = 67.75°, I = 24
2θ = 73.36°, I = 22
2θ = 83.36°, I = 8

Crystal structure
```
HoCuGe
1.0
4.212 0.000 0.000
-2.106 3.648 0.000
0.000 0.000 3.668
Ho Cu Ge
1 1 1
direct
0.000 0.000 0.000
0.333 0.667 0.500
0.667 0.333 0.500
```